Theoretical powder X-ray diffraction pattern of Y2CuTe2S2O14 for Cu Kα, 1.54184 Å, from the GGA-PBE geometry in the Materials Project.
Lines closer than 0.1° are merged.

Main lines, by angle (10 to 90 degrees two-theta):
- 2θ 13.0, rel. 86, (0 1 1)
- 2θ 22.4, rel. 53, (0 1 2)
- 2θ 24.4, rel. 49, (1 0 -1)
- 2θ 24.6, rel. 79, (1 1 2)
- 2θ 25.2, rel. 100, (0 2 0)
- 2θ 26.8, rel. 41, (1 0 2)
- 2θ 29.9, rel. 70, (-1 2 1)
- 2θ 30.5, rel. 37, (1 1 -1)
- 2θ 34.8, rel. 60, (1 0 -2)
- 2θ 36.9, rel. 41, (1 3 2)

Crystal structure
a = 5.2194 Å, b = 7.9884 Å, c = 8.2472 Å
α = 62.22°, β = 74.22°, γ = 85.34°
Fractional positions:
1 Y 0.0737 0.2512 0.0180
2 Y 0.9263 0.7488 0.9820
3 Cu 0.0000 0.0000 0.5000
4 Te 0.4882 0.7284 0.6555
5 Te 0.5118 0.2716 0.3445
6 S 0.2518 0.7481 0.2498
7 S 0.7482 0.2519 0.7502
8 O 0.1375 0.5885 0.2404
9 O 0.1413 0.7475 0.4340
10 O 0.1752 0.9224 0.0923
11 O 0.2489 0.9270 0.6585
12 O 0.2503 0.5611 0.8908
13 O 0.2715 0.1868 0.2557
14 O 0.4538 0.2624 0.7872
15 O 0.5462 0.7376 0.2128
16 O 0.7285 0.8132 0.7443
17 O 0.7497 0.4389 0.1092
18 O 0.7511 0.0730 0.3415
19 O 0.8248 0.0776 0.9077
20 O 0.8587 0.2525 0.5660
21 O 0.8625 0.4115 0.7596

Theoretical powder X-ray diffraction pattern of U4Cu3S2O34 for Cu Kα, 1.54184 Å, from the GGA-PBE geometry in the Materials Project.
Lines closer than 0.1° are merged.

Main lines, by angle (10 to 90 degrees two-theta):
- 2θ 10.1, rel. 100, (0 0 1)
- 2θ 12.5, rel. 28, (0 1 1)
- 2θ 20.2, rel. 60, (0 0 2)
- 2θ 25.4, rel. 21, (2 -1 0)
- 2θ 25.4, rel. 25, (2 2 1)
- 2θ 26.4, rel. 23, (2 -1 1)
- 2θ 27.0, rel. 17, (2 2 2)
- 2θ 27.8, rel. 17, (2 2 0)
- 2θ 28.2, rel. 20, (-2 1 1)
- 2θ 32.1, rel. 20, (0 3 0)

Crystal structure
a = 8.8390 Å, b = 8.9610 Å, c = 9.5979 Å
α = 71.03°, β = 72.23°, γ = 76.11°
Fractional positions:
1 U 0.0690 0.1603 0.0337
2 U 0.4117 0.8220 0.0341
3 U 0.5883 0.1780 0.9659
4 U 0.9310 0.8397 0.9663
5 Cu 0.0000 0.5000 0.5000
6 Cu 0.4766 0.6594 0.4768
7 Cu 0.5234 0.3406 0.5232
8 S 0.2490 0.5011 0.0030
9 S 0.7510 0.4989 0.9970
10 O 0.0186 0.0700 0.2366
11 O 0.0805 0.6928 0.4061
12 O 0.1029 0.6349 0.5434
13 O 0.1138 0.2730 0.8349
14 O 0.1448 0.9146 0.0039
15 O 0.1516 0.3729 0.0975
16 O 0.1602 0.6301 0.9015
17 O 0.2384 0.1589 0.4272
18 O 0.2680 0.2957 0.3936
19 O 0.2888 0.5727 0.1050
20 O 0.3550 0.0847 0.0029
21 O 0.3611 0.7920 0.2399
22 O 0.3754 0.4924 0.5961
23 O 0.3841 0.8575 0.5193
24 O 0.3986 0.4297 0.9088
25 O 0.4679 0.8214 0.8367
26 O 0.4849 0.1235 0.5876
27 O 0.5151 0.8765 0.4124
28 O 0.5321 0.1786 0.1633
29 O 0.6014 0.5703 0.0912
30 O 0.6159 0.1425 0.4807
31 O 0.6246 0.5076 0.4039
32 O 0.6389 0.2080 0.7601
33 O 0.6450 0.9153 0.9971
34 O 0.7112 0.4273 0.8950
35 O 0.7320 0.7044 0.6064
36 O 0.7616 0.8411 0.5728
37 O 0.8398 0.3699 0.0985
38 O 0.8484 0.6271 0.9025
39 O 0.8552 0.0854 0.9961
40 O 0.8862 0.7270 0.1651
41 O 0.8971 0.3651 0.4566
42 O 0.9195 0.3072 0.5939
43 O 0.9814 0.9300 0.7634

Theoretical powder X-ray diffraction pattern of U2CuS2O22 for Cu Kα, 1.54184 Å, from the GGA-PBE geometry in the Materials Project.
Lines closer than 0.1° are merged.

Main lines, by angle (10 to 90 degrees two-theta):
- 2θ 11.5, rel. 100, (0 1 0)
- 2θ 14.2, rel. 42, (1 0 0)
- 2θ 14.5, rel. 50, (1 1 1)
- 2θ 20.3, rel. 17, (0 1 2)
- 2θ 23.1, rel. 34, (0 2 0)
- 2θ 23.8, rel. 19, (1 2 0)
- 2θ 24.0, rel. 23, (1 -1 1)
- 2θ 26.0, rel. 30, (2 1 1)
- 2θ 28.4, rel. 30, (1 0 -2)
- 2θ 29.2, rel. 18, (1 1 3)

Crystal structure
a = 6.8649 Å, b = 8.9808 Å, c = 9.3680 Å
α = 62.50°, β = 70.59°, γ = 68.42°
Fractional positions:
1 U 0.1159 0.4970 0.3029
2 U 0.8841 0.5030 0.6971
3 Cu 0.0000 0.0000 0.0000
4 S 0.3254 0.4454 0.8891
5 S 0.6746 0.5546 0.1109
6 O 0.0424 0.0582 0.1681
7 O 0.0427 0.7383 0.1896
8 O 0.1422 0.5260 0.8015
9 O 0.1634 0.9229 0.7552
10 O 0.1700 0.5121 0.5065
11 O 0.2061 0.2627 0.3721
12 O 0.2603 0.5213 0.0155
13 O 0.2703 0.9459 0.8364
14 O 0.3780 0.2572 0.9570
15 O 0.4050 0.7366 0.4294
16 O 0.4910 0.4863 0.2333
17 O 0.5090 0.5137 0.7667
18 O 0.5950 0.2634 0.5706
19 O 0.6220 0.7428 0.0430
20 O 0.7297 0.0541 0.1636
21 O 0.7397 0.4787 0.9845
22 O 0.7939 0.7373 0.6279
23 O 0.8300 0.4879 0.4935
24 O 0.8366 0.0771 0.2448
25 O 0.8578 0.4740 0.1985
26 O 0.9573 0.2617 0.8104
27 O 0.9576 0.9418 0.8319

Theoretical powder X-ray diffraction pattern of YCuSO7 for Cu Kα, 1.54184 Å, from the GGA-PBE geometry in the Materials Project.
Lines closer than 0.1° are merged.

Main lines, by angle (10 to 90 degrees two-theta):
- 2θ 11.9, rel. 100, (2 0 0)
- 2θ 18.8, rel. 50, (2 0 1)
- 2θ 21.4, rel. 35, (1 1 1)
- 2θ 23.1, rel. 29, (3 0 1)
- 2θ 23.8, rel. 35, (2 1 1)
- 2θ 27.4, rel. 37, (3 1 1)
- 2θ 28.1, rel. 56, (4 1 0)
- 2θ 31.6, rel. 34, (2 0 2)
- 2θ 33.4, rel. 64, (5 0 1)
- 2θ 54.5, rel. 29, (5 0 3)

Crystal structure
a = 14.9000 Å, b = 6.0845 Å, c = 6.1184 Å
α = 90.00°, β = 90.00°, γ = 90.00°
Fractional positions:
1 Y 0.0847 0.2500 0.0392
2 Y 0.4153 0.7500 0.5392
3 Y 0.5847 0.2500 0.4608
4 Y 0.9153 0.7500 0.9608
5 Cu 0.0000 0.0000 0.5000
6 Cu 0.0000 0.5000 0.5000
7 Cu 0.5000 0.0000 0.0000
8 Cu 0.5000 0.5000 0.0000
9 S 0.1937 0.7500 0.2646
10 S 0.3063 0.2500 0.7646
11 S 0.6937 0.7500 0.2354
12 S 0.8063 0.2500 0.7354
13 O 0.0136 0.0148 0.7938
14 O 0.0136 0.4852 0.7938
15 O 0.0643 0.2500 0.4444
16 O 0.1432 0.7500 0.4727
17 O 0.1716 0.5510 0.1344
18 O 0.1716 0.9490 0.1344
19 O 0.2079 0.2500 0.8008
20 O 0.2921 0.7500 0.3008
21 O 0.3284 0.0510 0.6344
22 O 0.3284 0.4490 0.6344
23 O 0.3568 0.2500 0.9727
24 O 0.4357 0.7500 0.9444
25 O 0.4864 0.5148 0.2938
26 O 0.4864 0.9852 0.2938
27 O 0.5136 0.0148 0.7062
28 O 0.5136 0.4852 0.7062
29 O 0.5643 0.2500 0.0556
30 O 0.6432 0.7500 0.0273
31 O 0.6716 0.5510 0.3656
32 O 0.6716 0.9490 0.3656
33 O 0.7079 0.2500 0.6992
34 O 0.7921 0.7500 0.1992
35 O 0.8284 0.0510 0.8656
36 O 0.8284 0.4490 0.8656
37 O 0.8568 0.2500 0.5273
38 O 0.9357 0.7500 0.5556
39 O 0.9864 0.5148 0.2062
40 O 0.9864 0.9852 0.2062

Theoretical powder X-ray diffraction pattern of Cu13Si2Sb2O28 for Cu Kα, 1.54184 Å, from the GGA-PBE geometry in the Materials Project.
Lines closer than 0.1° are merged.

Main lines, by angle (10 to 90 degrees two-theta):
- 2θ 14.9, rel. 29, (0 0 2)
- 2θ 22.5, rel. 59, (0 2 0)
- 2θ 27.4, rel. 31, (-1 1 2)
- 2θ 30.1, rel. 37, (1 0 -3)
- 2θ 32.2, rel. 28, (1 0 4)
- 2θ 32.8, rel. 33, (-1 1 3)
- 2θ 34.0, rel. 100, (0 3 0)
- 2θ 35.1, rel. 35, (1 -1 4)
- 2θ 36.8, rel. 50, (1 2 -3)
- 2θ 38.1, rel. 27, (1 2 4)

Crystal structure
a = 5.4033 Å, b = 7.9805 Å, c = 12.0434 Å
α = 88.04°, β = 81.28°, γ = 82.91°
Fractional positions:
1 Cu 0.0000 0.0000 0.0000
2 Cu 0.0277 0.3885 0.3291
3 Cu 0.1229 0.6489 0.1529
4 Cu 0.2706 0.0049 0.4390
5 Cu 0.3334 0.6291 0.8577
6 Cu 0.3844 0.3682 0.6821
7 Cu 0.3910 0.9973 0.1689
8 Cu 0.6090 0.0027 0.8311
9 Cu 0.6156 0.6318 0.3179
10 Cu 0.6666 0.3709 0.1423
11 Cu 0.7294 0.9951 0.5611
12 Cu 0.8771 0.3511 0.8471
13 Cu 0.9723 0.6115 0.6709
14 Si 0.2045 0.3168 0.0150
15 Si 0.7955 0.6832 0.9850
16 Sb 0.1774 0.9871 0.6944
17 Sb 0.8226 0.0129 0.3056
18 O 0.0233 0.3816 0.7001
19 O 0.0323 0.1194 0.5680
20 O 0.0759 0.8866 0.1763
21 O 0.1040 0.1525 0.3194
22 O 0.1044 0.6802 0.9974
23 O 0.2356 0.4121 0.1306
24 O 0.2699 0.4293 0.4206
25 O 0.2815 0.1104 0.0318
26 O 0.3049 0.5969 0.7052
27 O 0.3228 0.5854 0.4163
28 O 0.3308 0.8701 0.8239
29 O 0.3575 0.3849 0.8982
30 O 0.4195 0.8777 0.5643
31 O 0.4731 0.1285 0.6976
32 O 0.5269 0.8715 0.3024
33 O 0.5805 0.1223 0.4357
34 O 0.6425 0.6151 0.1018
35 O 0.6692 0.1299 0.1761
36 O 0.6772 0.4146 0.5837
37 O 0.6951 0.4031 0.2948
38 O 0.7185 0.8896 0.9682
39 O 0.7301 0.5707 0.5794
40 O 0.7644 0.5879 0.8694
41 O 0.8956 0.3198 0.0026
42 O 0.8960 0.8475 0.6806
43 O 0.9241 0.1134 0.8237
44 O 0.9677 0.8806 0.4320
45 O 0.9767 0.6184 0.2999

Theoretical powder X-ray diffraction pattern of Cu13Si2Sb2O28 for Cu Kα, 1.54184 Å, from the GGA-PBE geometry in the Materials Project.
Lines closer than 0.1° are merged.

Main lines, by angle (10 to 90 degrees two-theta):
- 2θ 15.2, rel. 28, (0 0 2)
- 2θ 22.3, rel. 55, (0 2 0)
- 2θ 31.6, rel. 39, (1 0 -3)
- 2θ 31.7, rel. 38, (1 0 4)
- 2θ 33.7, rel. 100, (0 3 0)
- 2θ 34.3, rel. 41, (-1 1 3)
- 2θ 34.5, rel. 35, (1 -1 4)
- 2θ 37.6, rel. 53, (1 2 4)
- 2θ 37.7, rel. 29, (2 2 1)
- 2θ 64.9, rel. 27, (1 5 -3)

Crystal structure
a = 5.4104 Å, b = 8.0624 Å, c = 11.9615 Å
α = 88.15°, β = 77.12°, γ = 81.98°
Fractional positions:
1 Cu 0.0000 0.0000 0.0000
2 Cu 0.0364 0.7380 0.8275
3 Cu 0.0851 0.3625 0.3054
4 Cu 0.2436 0.3631 0.9901
5 Cu 0.2919 0.9862 0.4682
6 Cu 0.3312 0.7246 0.2956
7 Cu 0.3838 0.3617 0.7112
8 Cu 0.4790 0.7233 0.9992
9 Cu 0.6166 0.9843 0.8265
10 Cu 0.6642 0.3630 0.1475
11 Cu 0.7112 0.7402 0.4692
12 Cu 0.8509 0.0010 0.2962
13 Cu 0.9459 0.3627 0.5846
14 Si 0.4434 0.0427 0.1470
15 Si 0.8848 0.6831 0.1487
16 Sb 0.5131 0.3628 0.4495
17 Sb 0.8166 0.3609 0.8463
18 O 0.0576 0.7538 0.0299
19 O 0.0793 0.2423 0.7154
20 O 0.1096 0.5002 0.8425
21 O 0.2196 0.2243 0.4534
22 O 0.2514 0.4823 0.5804
23 O 0.2702 0.9705 0.2657
24 O 0.3505 0.7837 0.7309
25 O 0.3675 0.2503 0.1459
26 O 0.3735 0.4839 0.3162
27 O 0.3760 0.7560 0.4448
28 O 0.3901 0.9692 0.0281
29 O 0.3964 0.9389 0.7306
30 O 0.5311 0.2210 0.8405
31 O 0.5433 0.4821 0.9788
32 O 0.5748 0.7045 0.1478
33 O 0.6451 0.2422 0.5801
34 O 0.6508 0.9701 0.4439
35 O 0.6776 0.7544 0.8511
36 O 0.6841 0.4816 0.7158
37 O 0.7523 0.0200 0.1475
38 O 0.7865 0.2408 0.3168
39 O 0.7993 0.5028 0.4549
40 O 0.9324 0.7856 0.5646
41 O 0.9372 0.7568 0.2676
42 O 0.9509 0.9682 0.8511
43 O 0.9576 0.2416 0.9793
44 O 0.9601 0.4755 0.1509
45 O 0.9765 0.9417 0.5639